For Tb3SbO7, a crystal structure in the Materials Project, relaxed with GGA-PBE gives the simulated powder XRD pattern in this record (Cu Kα (weighted mean of Kα1 and Kα2)).

Main lines, by angle (2θ = 5–70°):
- 29.03°, I 100
- 33.60°, I 24
- 33.74°, I 11
- 48.20°, I 8
- 48.35°, I 36
- 57.30°, I 28
- 57.48°, I 12
- 60.17°, I 9

Crystal structure
Unit cell a=6.5138 b=6.5138 c=7.5524 alpha=90.00 beta=90.00 gamma=109.32
Fractional coordinates of all 22 atoms:
1 Tb 0.0130 0.0130 0.0000
2 Tb 0.0320 0.5000 0.2527
3 Tb 0.5000 0.0320 0.7473
4 Tb 0.5000 0.9680 0.2473
5 Tb 0.9680 0.5000 0.7527
6 Tb 0.9870 0.9870 0.5000
7 Sb 0.4996 0.4996 0.0000
8 Sb 0.5004 0.5004 0.5000
9 O 0.1296 0.8704 0.7500
10 O 0.1374 0.8626 0.2500
11 O 0.1765 0.4225 0.9725
12 O 0.1830 0.4358 0.5325
13 O 0.4225 0.1765 0.0275
14 O 0.4304 0.5696 0.2500
15 O 0.4358 0.1830 0.4675
16 O 0.5642 0.8170 0.9675
17 O 0.5696 0.4304 0.7500
18 O 0.5775 0.8235 0.5275
19 O 0.8170 0.5642 0.0325
20 O 0.8235 0.5775 0.4725
21 O 0.8626 0.1374 0.7500
22 O 0.8704 0.1296 0.2500

***

For B8O, a crystal structure in the Materials Project, relaxed with GGA-PBE gives the simulated powder XRD pattern in this record (Cu Kα (weighted mean of Kα1 and Kα2)).

Main lines, by angle (2θ = 5–70°):
- 20.64°, I 15
- 21.53°, I 58
- 34.96°, I 100
- 39.88°, I 47
- 40.11°, I 23
- 63.39°, I 10
- 65.54°, I 8
- 65.90°, I 8

Crystal structure
Unit cell a=7.3586 b=5.3188 c=10.2720 alpha=90.00 beta=92.40 gamma=90.00
Fractional coordinates of all 54 atoms:
1 B 0.0309 0.2500 0.1991
2 B 0.0459 0.2500 0.6872
3 B 0.0758 0.0851 0.0455
4 B 0.0758 0.4149 0.0455
5 B 0.0807 0.0807 0.5434
6 B 0.0807 0.4193 0.5434
7 B 0.1763 0.5308 0.6992
8 B 0.1763 0.9692 0.6992
9 B 0.1854 0.5101 0.1985
10 B 0.1854 0.9899 0.1985
11 B 0.2428 0.2500 0.7965
12 B 0.2436 0.2500 0.9609
13 B 0.2483 0.2500 0.2964
14 B 0.2488 0.2500 0.4613
15 B 0.3084 0.5117 0.0568
16 B 0.3084 0.9883 0.0568
17 B 0.3090 0.5153 0.5587
18 B 0.3090 0.9847 0.5587
19 B 0.4117 0.0804 0.7139
20 B 0.4117 0.4196 0.7139
21 B 0.4168 0.0839 0.2097
22 B 0.4168 0.4161 0.2097
23 B 0.4504 0.2500 0.0635
24 B 0.4496 0.2500 0.5670
25 B 0.5504 0.7500 0.4330
26 B 0.5496 0.7500 0.9365
27 B 0.5832 0.5839 0.7903
28 B 0.5832 0.9161 0.7903
29 B 0.5883 0.5804 0.2861
30 B 0.5883 0.9196 0.2861
31 B 0.6910 0.0153 0.4413
32 B 0.6910 0.4847 0.4413
33 B 0.6916 0.0117 0.9432
34 B 0.6916 0.4883 0.9432
35 B 0.7512 0.7500 0.5387
36 B 0.7517 0.7500 0.7036
37 B 0.7564 0.7500 0.0391
38 B 0.7572 0.7500 0.2035
39 B 0.8146 0.0101 0.8015
40 B 0.8146 0.4899 0.8015
41 B 0.8237 0.0308 0.3008
42 B 0.8237 0.4692 0.3008
43 B 0.9193 0.5807 0.4566
44 B 0.9193 0.9193 0.4566
45 B 0.9242 0.5851 0.9545
46 B 0.9242 0.9149 0.9545
47 B 0.9541 0.7500 0.3128
48 B 0.9691 0.7500 0.8009
49 O 0.1326 0.7500 0.2565
50 O 0.3688 0.7500 0.9967
51 O 0.3720 0.7500 0.4971
52 O 0.6280 0.2500 0.5029
53 O 0.6312 0.2500 0.0033
54 O 0.8674 0.2500 0.7435

***

For MgSi2, a crystal structure in the Materials Project, relaxed with GGA-PBE gives the simulated powder XRD pattern in this record (Cu Kα (weighted mean of Kα1 and Kα2)).

Main lines, by angle (2θ = 5–70°):
- 33.18°, I 32
- 33.97°, I 23
- 34.63°, I 28
- 35.45°, I 35
- 36.59°, I 26
- 37.68°, I 58
- 38.65°, I 21
- 38.89°, I 100

Crystal structure
Unit cell a=5.8943 b=7.4935 c=10.2303 alpha=69.34 beta=89.33 gamma=82.46
Fractional coordinates of all 24 atoms:
1 Mg 0.0000 0.0000 0.0000
2 Mg 0.0057 0.6379 0.6179
3 Mg 0.2278 0.0381 0.7171
4 Mg 0.3634 0.6383 0.1281
5 Mg 0.4824 0.0128 0.1941
6 Mg 0.4921 0.6351 0.7054
7 Mg 0.7461 0.9744 0.7078
8 Mg 0.9259 0.3041 0.4456
9 Si 0.1017 0.6629 0.8894
10 Si 0.1665 0.3380 0.0883
11 Si 0.2015 0.6113 0.3831
12 Si 0.2258 0.9763 0.4697
13 Si 0.2323 0.3335 0.8536
14 Si 0.4121 0.2850 0.3559
15 Si 0.4873 0.3570 0.5826
16 Si 0.5025 0.9705 0.9438
17 Si 0.6085 0.6450 0.4018
18 Si 0.6251 0.2968 0.9505
19 Si 0.6529 0.9272 0.4600
20 Si 0.7006 0.6503 0.9404
21 Si 0.7771 0.3444 0.1667
22 Si 0.8504 0.2972 0.7422
23 Si 0.8750 0.6712 0.2123
24 Si 0.9730 0.9926 0.2820